# 1
Computed powder diffractogram
Compound: Dy3Ga5
Radiation: copper Kα
Structure: a cell relaxed with PBE
Lines closer than 0.1° are merged.

Crystal structure
```
Dy3Ga5
1.0
11.4546 0.0000 0.0000
0.0000 9.7025 0.0000
0.0000 0.0000 6.1112
Dy Ga
12 20
Direct
0.0737 0.2500 0.1513
0.1480 0.5093 0.6104
0.1480 0.9907 0.6104
0.3520 0.0093 0.1104
0.3520 0.4907 0.1104
0.4263 0.7500 0.6513
0.5737 0.2500 0.3487
0.6480 0.5093 0.8896
0.6480 0.9907 0.8896
0.8520 0.0093 0.3896
0.8520 0.4907 0.3896
0.9263 0.7500 0.8487
0.0058 0.2500 0.6291
0.0910 0.5531 0.1251
0.0910 0.9469 0.1251
0.2013 0.7500 0.8973
0.2480 0.7500 0.3244
0.2520 0.2500 0.8244
0.2987 0.2500 0.3973
0.4090 0.0531 0.6251
0.4090 0.4469 0.6251
0.4942 0.7500 0.1291
0.5058 0.2500 0.8709
0.5910 0.5531 0.3749
0.5910 0.9469 0.3749
0.7013 0.7500 0.6027
0.7480 0.7500 0.1756
0.7520 0.2500 0.6756
0.7987 0.2500 0.1027
0.9090 0.0531 0.8749
0.9090 0.4469 0.8749
0.9942 0.7500 0.3709
```

Most intense lines, 15° ≤ 2θ ≤ 90°, most intense first:
two_theta	I/Imax
35.60	100
37.06	87
37.71	82
33.27	78
36.43	76
41.41	65

# 2
Computed powder diffractogram
Compound: DyGaGe2O7
Radiation: copper Kα
Structure: a cell relaxed with PBE
Lines closer than 0.1° are merged.

Crystal structure
```
DyGaGe2O7
1.0
7.2694 0.0000 0.0000
0.0000 6.6147 0.0000
-6.0643 0.0000 11.3365
Dy Ga Ge O
4 4 8 28
Direct
0.2448 0.1427 0.4714
0.2448 0.3573 0.9714
0.7552 0.6427 0.0286
0.7552 0.8573 0.5286
0.2118 0.0990 0.7296
0.2118 0.4010 0.2296
0.7882 0.5990 0.7704
0.7882 0.9010 0.2704
0.2176 0.6570 0.4577
0.2176 0.8430 0.9577
0.3002 0.5890 0.7228
0.3002 0.9110 0.2228
0.6998 0.0890 0.7772
0.6998 0.4110 0.2772
0.7824 0.1570 0.0423
0.7824 0.3430 0.5423
0.0176 0.6555 0.9241
0.0176 0.8445 0.4241
0.1482 0.6894 0.1848
0.1482 0.8106 0.6848
0.2103 0.0561 0.8736
0.2103 0.4439 0.3736
0.2185 0.1107 0.2816
0.2185 0.3893 0.7816
0.2566 0.0025 0.0791
0.2566 0.4975 0.5791
0.4128 0.6720 0.9801
0.4128 0.8280 0.4801
0.4268 0.1239 0.6870
0.4268 0.3761 0.1870
0.5732 0.6239 0.8130
0.5732 0.8761 0.3130
0.5872 0.1720 0.5199
0.5872 0.3280 0.0199
0.7434 0.5025 0.4209
0.7434 0.9975 0.9209
0.7815 0.6107 0.2184
0.7815 0.8893 0.7184
0.7897 0.5561 0.6264
0.7897 0.9439 0.1264
0.8518 0.1894 0.3152
0.8518 0.3106 0.8152
0.9824 0.1555 0.5759
0.9824 0.3445 0.0759
```

Most intense lines, 15° ≤ 2θ ≤ 90°, most intense first:
two_theta	I/Imax
27.82	100
29.71	50
31.57	26
30.71	26
33.10	24
36.09	22

# 3
Computed powder diffractogram
Compound: LiDy2Ga
Radiation: copper Kα
Structure: a cell relaxed with PBE
Lines closer than 0.1° are merged.

Crystal structure
```
LiDy2Ga
1.0
0.0000 3.5991 3.5991
3.5991 0.0000 3.5991
3.5991 3.5991 0.0000
Li Dy Ga
1 2 1
Direct
0.0000 0.0000 0.0000
0.2500 0.2500 0.2500
0.7500 0.7500 0.7500
0.5000 0.5000 0.5000
```

Most intense lines, 15° ≤ 2θ ≤ 90°, most intense first:
two_theta	I/Imax
35.27	100
24.74	45
63.29	36
57.24	19
50.73	18
85.27	16

# 4
Computed powder diffractogram
Compound: DyMgGa
Radiation: copper Kα
Structure: a cell relaxed with PBE
Lines closer than 0.1° are merged.

Crystal structure
```
DyMgGa
1.0
7.3073 0.0000 0.0000
-3.6537 6.3283 0.0000
0.0000 0.0000 4.4158
Dy Mg Ga
3 3 3
Direct
0.0000 0.5792 0.0000
0.4208 0.4208 0.0000
0.5792 0.0000 0.0000
0.0000 0.2451 0.5000
0.2451 0.0000 0.5000
0.7549 0.7549 0.5000
0.0000 0.0000 0.0000
0.3333 0.6667 0.5000
0.6667 0.3333 0.5000
```

Most intense lines, 15° ≤ 2θ ≤ 90°, most intense first:
two_theta	I/Imax
34.88	100
31.79	86
28.20	32
56.41	31
20.11	27
24.36	27